Structure and theoretical powder diffractogram of Nd2Zn3Ge6 (a GGA-PBE-relaxed structure; a wavelength of 1.5418 Å).
Kinematic intensities with the Lorentz-polarization factor, no thermal factor.

Largest 12 diffraction maxima, low angle first, 5 to 70 degrees two-theta:
2theta	intensity	(hkl)
23.7	11.7	1 3 1
30.9	20.6	2 2 0
33.0	53.2	1 7 1
33.3	100.0	0 4 2
36.2	21.5	0 10 0
37.2	49.8	0 6 2
42.9	68.7	2 0 2
45.6	28.0	1 11 1
55.2	20.9	3 7 1
57.3	18.2	2 10 2
62.3	19.4	0 0 4
64.4	24.3	3 11 1

Crystal structure
```
data_Nd2Zn3Ge6
_chemical_formula_sum 'Nd8 Zn12 Ge24'
_cell_length_a 5.963
_cell_length_b 24.829
_cell_length_c 5.959
_cell_angle_alpha 90.00
_cell_angle_beta 90.00
_cell_angle_gamma 90.00
_symmetry_space_group_name_H-M 'C m c m'
_symmetry_Int_Tables_number 63
_symmetry_space_group_name_Hall '-C 2c 2'
loop_
_atom_site_label
_atom_site_type_symbol
_atom_site_fract_x
_atom_site_fract_y
_atom_site_fract_z
Nd1 Nd 0.000 0.106 0.250
Nd2 Nd 0.000 0.393 0.250
Zn1 Zn 0.000 0.160 0.750
Zn2 Zn 0.235 0.500 0.000
Ge1 Ge 0.000 0.058 0.750
Ge2 Ge 0.000 0.430 0.750
Ge3 Ge 0.216 0.299 0.535
```

---

Structure and theoretical powder diffractogram of GaPSe4 (a GGA-PBE-relaxed structure; a wavelength of 1.5418 Å).
Kinematic intensities with the Lorentz-polarization factor, no thermal factor.

Largest 12 diffraction maxima, low angle first, 5 to 70 degrees two-theta:
2theta	intensity	(hkl)
17.6	36.3	1 1 1
25.3	43.7	1 1 2
28.6	100.0	2 2 0
29.1	32.4	0 2 2
29.3	38.9	2 0 2
30.5	16.7	2 2 1
42.5	23.3	0 0 4
48.8	39.8	3 3 2
51.3	14.0	4 2 2
52.0	29.5	2 2 4
57.2	13.6	1 5 2
57.9	16.0	5 1 2

Crystal structure
```
data_GaPSe4
_chemical_formula_sum 'Ga4 P4 Se16'
_cell_length_a 8.754
_cell_length_b 8.879
_cell_length_c 8.511
_cell_angle_alpha 90.00
_cell_angle_beta 90.00
_cell_angle_gamma 90.00
_symmetry_space_group_name_H-M 'C 2 2 21'
_symmetry_Int_Tables_number 20
_symmetry_space_group_name_Hall 'C 2c 2'
loop_
_atom_site_label
_atom_site_type_symbol
_atom_site_fract_x
_atom_site_fract_y
_atom_site_fract_z
Ga1 Ga 0.177 0.000 0.000
P1 P 0.000 0.331 0.250
Se1 Se 0.022 0.204 0.474
Se2 Se 0.211 0.479 0.238
```